This entry pairs a crystal structure of AcCeNpN4 with its calculated X-ray diffraction stick pattern. Radiation: Cu Kα. Structure: a cell relaxed with PBE.
No peak broadening, texture or thermal motion is included.

Crystal structure
Unit cell a=4.233 b=4.233 c=13.005 alpha=90.00 beta=90.00 gamma=90.00
Fractional positions:
Ac  0.000  0.000  0.000
Ac  0.500  0.500  0.500
Ce  0.000  0.000  0.705
Ce  0.500  0.500  0.205
Np  0.000  0.000  0.349
Np  0.500  0.500  0.849
N  0.000  0.000  0.186
N  0.000  0.000  0.529
N  0.000  0.500  0.343
N  0.000  0.500  0.843
N  0.500  0.000  0.343
N  0.500  0.000  0.843
N  0.500  0.500  0.029
N  0.500  0.500  0.686

Top 8 peaks for 2θ = 10–80°, low angle first:
13.62°, 6.503 Å, rel. 12, hkl 0 0 2
29.49°, 3.029 Å, rel. 100, hkl 1 0 3
29.85°, 2.993 Å, rel. 58, hkl 1 1 0
40.71°, 2.216 Å, rel. 11, hkl 1 0 5
42.72°, 2.116 Å, rel. 26, hkl 2 0 0
52.10°, 1.756 Å, rel. 18, hkl 1 1 6
52.77°, 1.735 Å, rel. 42, hkl 2 1 3
61.21°, 1.514 Å, rel. 13, hkl 2 0 6